1.
Starting from a crystal structure in Alexandria, relaxed with GGA-PBE, the powder XRD pattern of La2HoBi3 was calculated for Cu Kα.

Largest 10 diffraction maxima, in order of falling intensity, 10 to 90 degrees two-theta:
2theta	intensity
27.26	100
38.94	78
63.62	31
48.19	28
70.49	18
56.25	13
89.93	9
70.59	9
83.59	7
63.56	6

Crystal structure
Lattice parameters (Å, degrees): 15.3537 14.6373 8.0108 79.51 69.62 30.87
Fractional positions:
La 0.0428 0.0428 0.2072
La 0.1235 0.1235 0.6265
La 0.2072 0.2072 0.0428
La 0.3735 0.3735 0.8765
La 0.6265 0.6265 0.1235
La 0.7928 0.7928 0.9572
La 0.8765 0.8765 0.3735
La 0.9572 0.9572 0.7928
Ho 0.2914 0.2914 0.4586
Ho 0.4586 0.4586 0.2914
Ho 0.5414 0.5414 0.7086
Ho 0.7086 0.7086 0.5414
Bi 0.0391 0.5406 0.2203
Bi 0.1360 0.6140 0.6140
Bi 0.2203 0.7000 0.0391
Bi 0.3000 0.7797 0.4594
Bi 0.3860 0.8640 0.8640
Bi 0.4594 0.9609 0.3000
Bi 0.5406 0.0391 0.7000
Bi 0.6140 0.1360 0.1360
Bi 0.7000 0.2203 0.5406
Bi 0.7797 0.3000 0.9609
Bi 0.8640 0.3860 0.3860
Bi 0.9609 0.4594 0.7797

2.
Starting from a crystal structure in Alexandria, relaxed with GGA-PBE, the powder XRD pattern of K4La3CeO8 was calculated for Cu Kα.

Largest 10 diffraction maxima, in order of falling intensity, 10 to 90 degrees two-theta:
2theta	intensity
33.73	100
14.08	74
29.35	70
49.08	34
47.82	32
28.15	31
28.37	29
57.66	24
51.32	17
43.82	17

Crystal structure
Lattice parameters (Å, degrees): 7.6128 7.6128 7.6128 58.38 58.38 58.38
Fractional positions:
K 0.0000 0.0000 0.0000
K 0.0000 0.5000 0.5000
K 0.5000 0.0000 0.5000
K 0.5000 0.5000 0.0000
La 0.0000 0.0000 0.5000
La 0.0000 0.5000 0.0000
La 0.5000 0.0000 0.0000
Ce 0.5000 0.5000 0.5000
O 0.2300 0.2300 0.2300
O 0.2349 0.7278 0.7278
O 0.2722 0.2722 0.7651
O 0.2722 0.7651 0.2722
O 0.7278 0.2349 0.7278
O 0.7278 0.7278 0.2349
O 0.7651 0.2722 0.2722
O 0.7700 0.7700 0.7700

3.
Starting from a crystal structure in Alexandria, relaxed with GGA-PBE, the powder XRD pattern of SrCa5Cd6 was calculated for Cu Kα.

Largest 10 diffraction maxima, in order of falling intensity, 10 to 90 degrees two-theta:
2theta	intensity
32.77	100
32.42	26
32.53	25
22.81	19
58.05	18
46.51	9
23.21	9
46.67	9
58.15	9
58.24	9

Crystal structure
Lattice parameters (Å, degrees): 5.5232 7.6643 8.6981 90.00 108.34 90.00
Fractional positions:
Sr 0.0000 0.0000 0.0000
Ca 0.0000 0.5000 0.0000
Ca 0.3323 0.0000 0.6653
Ca 0.3346 0.5000 0.6702
Ca 0.6654 0.5000 0.3298
Ca 0.6677 0.0000 0.3347
Cd 0.1711 0.2564 0.3406
Cd 0.1711 0.7436 0.3406
Cd 0.5000 0.2589 0.0000
Cd 0.5000 0.7411 0.0000
Cd 0.8289 0.2564 0.6594
Cd 0.8289 0.7436 0.6594